Record 1
Starting from a crystal structure in Alexandria, relaxed with GGA-PBE, the powder diffractogram of TmThHgC was calculated for a wavelength of 1.5418 Å.

Peak list (10 most intense, 10° ≤ 2θ ≤ 90°, in order of rising 2θ)
index	two_theta	I_rel
2 0 -1	28.83	44
1 1 1	32.36	87
0 0 3	33.81	38
2 0 1	34.32	100
2 0 -4	47.98	20
0 2 0	50.62	41
2 0 4	62.04	20
3 1 2	62.27	41
2 2 1	62.59	18
4 2 -3	84.56	16

Cell and atoms:
```
data_TmThHgC
_symmetry_space_group_name_H-M 'C 1 m 1'
_symmetry_Int_Tables_number 8
_cell_length_a 6.2430
_cell_length_b 3.6081
_cell_length_c 8.2178
_cell_angle_alpha 90.00
_cell_angle_beta 104.57
_cell_angle_gamma 90.00
loop_
_symmetry_equiv_pos_as_xyz
'x,y,z'
'x,-y,z'
'x+1/2,y+1/2,z'
'x+1/2,-y+1/2,z'
loop_
_atom_site_label
_atom_site_type_symbol
_atom_site_fract_x
_atom_site_fract_y
_atom_site_fract_z
Tm1 Tm 0.0000 0.0000 0.0000
Th1 Th 0.2165 0.0000 0.6490
Hg1 Hg 0.4361 0.0000 0.3077
C1 C 0.1105 0.5000 0.8315
```

Record 2
Starting from a crystal structure in Alexandria, relaxed with GGA-PBE, the powder diffractogram of YThHgC was calculated for a wavelength of 1.5418 Å.

Peak list (10 most intense, 10° ≤ 2θ ≤ 90°, in order of rising 2θ)
index	two_theta	I_rel
0 0 3	11.02	24
1 0 1	28.39	19
0 1 2	29.12	71
1 0 4	31.90	100
0 0 9	33.49	43
0 1 5	33.85	88
1 0 7	38.62	34
1 1 0	49.81	47
1 0 13	57.63	21
1 1 9	61.35	60

Cell and atoms:
```
data_YThHgC
_symmetry_space_group_name_H-M 'R 3 m'
_symmetry_Int_Tables_number 160
_symmetry_space_group_name_Hall 'R 3 -2"'
_cell_length_a 3.6611
_cell_length_b 3.6611
_cell_length_c 24.0832
_cell_angle_alpha 90.00
_cell_angle_beta 90.00
_cell_angle_gamma 120.00
loop_
_atom_site_label
_atom_site_type_symbol
_atom_site_fract_x
_atom_site_fract_y
_atom_site_fract_z
Y1 Y 0.0000 0.0000 0.0000
Th1 Th 0.0000 0.0000 0.2169
Hg1 Hg 0.0000 0.0000 0.7704
C1 C 0.0000 0.0000 0.6082
```

Record 3
Starting from a crystal structure in Alexandria, relaxed with GGA-PBE, the powder diffractogram of Ti6Hg3C was calculated for a wavelength of 1.5418 Å.

Peak list (10 most intense, 10° ≤ 2θ ≤ 90°, in order of rising 2θ)
index	two_theta	I_rel
1 1 0	18.03	59
1 1 1	24.61	100
0 2 0	30.65	30
3 1 -1	31.74	30
3 1 -2	36.20	33
4 0 -1	36.89	51
2 0 2	39.08	41
2 0 -3	39.45	35
2 2 1	41.57	47
2 2 -2	41.77	46

Cell and atoms:
```
data_Ti6Hg3C
_symmetry_space_group_name_H-M 'C 1 2/m 1'
_symmetry_Int_Tables_number 12
_cell_length_a 9.7474
_cell_length_b 5.8339
_cell_length_c 6.9183
_cell_angle_alpha 90.00
_cell_angle_beta 110.00
_cell_angle_gamma 90.00
loop_
_symmetry_equiv_pos_as_xyz
'x,y,z'
'-x,-y,-z'
'-x,y,-z'
'x,-y,z'
'x+1/2,y+1/2,z'
'-x+1/2,-y+1/2,-z'
'-x+1/2,y+1/2,-z'
'x+1/2,-y+1/2,z'
loop_
_atom_site_label
_atom_site_type_symbol
_atom_site_fract_x
_atom_site_fract_y
_atom_site_fract_z
Ti1 Ti 0.1049 0.2482 0.3816
Ti2 Ti 0.1790 0.0000 0.7778
Hg1 Hg 0.0000 0.5000 0.0000
Hg2 Hg 0.1964 0.5000 0.7651
C1 C 0.0000 0.0000 0.5000
```